Entry 1:
Computed powder diffraction line list
Compound: TlCd5Hg11
Radiation: Cu Kα (λ = 1.5418 Å)
Structure: the GGA-PBE geometry in Alexandria
Neutral-atom scattering factors, no anomalous dispersion.

Largest 8 diffraction maxima, in order of falling intensity, 15° ≤ 2θ ≤ 90°:
d_spacing  I/Imax  h k l
2.754  100  2 4 0
2.929  98  0 2 2
2.620  59  2 4 -1
2.589  56  4 0 -1
3.191  43  1 1 -2
2.415  41  2 2 2
2.719  26  3 3 0
2.407  26  3 3 1

Cell and atoms:
Cell: 10.652 12.937 6.661 Å, 90.00 99.34 90.00°
Space group C2/m (No. 12)
One atom of each set of equivalent atoms:
1 Tl 0.000 0.000 0.000 [2 per cell]
2 Cd 0.000 0.500 0.000 [2 per cell]
3 Cd 0.185 0.165 0.648 [8 per cell]
4 Hg 0.000 0.000 0.500 [2 per cell]
5 Hg 0.043 0.270 0.240 [8 per cell]
6 Hg 0.132 0.500 0.448 [4 per cell]
7 Hg 0.232 0.377 0.872 [8 per cell]

***

Entry 2:
Computed powder diffraction line list
Compound: La5Sm2Er
Radiation: Cu Kα (λ = 1.5418 Å)
Structure: the GGA-PBE geometry in Alexandria
Neutral-atom scattering factors, no anomalous dispersion.

Largest 8 diffraction maxima, in order of falling intensity, 15° ≤ 2θ ≤ 90°:
d_spacing  I/Imax  h k l
2.842  100  1 3 3
2.860  65  2 0 0
2.797  47  1 1 5
3.241  37  1 1 4
1.648  20  3 3 3
2.022  14  2 4 2
1.716  13  0 4 8
1.639  11  3 1 5

Cell and atoms:
Cell: 5.722 12.178 16.614 Å, 90.00 90.00 90.00°
Space group Cmcm (No. 63)
One atom of each set of equivalent atoms:
1 La 0.000 0.034 0.250 [4 per cell]
2 La 0.000 0.113 0.553 [8 per cell]
3 La 0.000 0.422 0.593 [8 per cell]
4 Sm 0.000 0.276 0.135 [8 per cell]
5 Er 0.000 0.248 0.750 [4 per cell]

***

Entry 3:
Computed powder diffraction line list
Compound: K3TiO4F3
Radiation: Cu Kα (λ = 1.5418 Å)
Structure: the GGA-PBE geometry in Alexandria
Neutral-atom scattering factors, no anomalous dispersion.

Largest 8 diffraction maxima, in order of falling intensity, 15° ≤ 2θ ≤ 90°:
d_spacing  I/Imax  h k l
3.148  100  2 2 0
2.242  69  0 0 4
3.063  67  0 2 2
3.264  54  2 0 2
5.153  51  1 1 1
2.476  43  3 1 2
1.901  33  3 3 2
2.098  33  0 4 0

Cell and atoms:
Cell: 9.525 8.390 8.967 Å, 90.00 90.00 90.00°
Space group Cmcm (No. 63)
One atom of each set of equivalent atoms:
1 K 0.000 0.203 0.250 [4 per cell]
2 K 0.202 0.500 0.000 [8 per cell]
3 Ti 0.000 0.241 0.750 [4 per cell]
4 O 0.144 0.079 0.750 [8 per cell]
5 O 0.209 0.239 0.750 [8 per cell]
6 F 0.000 0.262 0.532 [8 per cell]
7 F 0.000 0.480 0.750 [4 per cell]

***

Entry 4:
Computed powder diffraction line list
Compound: ZrZn6Ni4
Radiation: Cu Kα (λ = 1.5418 Å)
Structure: the GGA-PBE geometry in Alexandria
Neutral-atom scattering factors, no anomalous dispersion.

Largest 8 diffraction maxima, in order of falling intensity, 15° ≤ 2θ ≤ 90°:
d_spacing  I/Imax  h k l
2.026  100  2 1 3
2.632  86  2 1 1
2.538  78  2 0 2
2.001  67  3 0 1
1.994  67  1 1 4
2.177  53  2 2 0
1.562  34  2 2 4
1.336  34  4 1 3

Cell and atoms:
Cell: 6.157 6.157 8.974 Å, 90.00 90.00 90.00°
Space group I-42m (No. 121)
One atom of each set of equivalent atoms:
1 Zr 0.000 0.000 0.000 [2 per cell]
2 Zn 0.000 0.500 0.000 [4 per cell]
3 Zn 0.179 0.179 0.711 [8 per cell]
4 Ni 0.173 0.173 0.433 [8 per cell]

***

Entry 5:
Computed powder diffraction line list
Compound: CsHSe
Radiation: Cu Kα (λ = 1.5418 Å)
Structure: the GGA-PBE geometry in Alexandria
Neutral-atom scattering factors, no anomalous dispersion.

Largest 8 diffraction maxima, in order of falling intensity, 15° ≤ 2θ ≤ 90°:
d_spacing  I/Imax  h k l
3.402  100  1 2 3
3.272  52  5 2 1
3.500  44  4 3 1
2.924  35  6 1 1
4.606  32  4 0 0
2.787  27  4 5 1
2.866  25  1 4 3
2.324  24  6 4 2

Cell and atoms:
Cell: 18.422 18.422 11.205 Å, 90.00 90.00 90.00°
Space group I4_1/a (No. 88, origin choice 2)
One atom of each set of equivalent atoms:
1 Cs 0.071 0.498 0.224 [16 per cell]
2 Cs 0.109 0.105 0.407 [16 per cell]
3 H 0.021 0.368 0.612 [16 per cell]
4 H 0.048 0.099 0.041 [16 per cell]
5 Se 0.078 0.405 0.540 [16 per cell]
6 Se 0.105 0.052 0.092 [16 per cell]

***

Entry 6:
Computed powder diffraction line list
Compound: AcBe2AlPt4
Radiation: Cu Kα (λ = 1.5418 Å)
Structure: the GGA-PBE geometry in Alexandria
Neutral-atom scattering factors, no anomalous dispersion.

Largest 8 diffraction maxima, in order of falling intensity, 15° ≤ 2θ ≤ 90°:
d_spacing  I/Imax  h k l
2.637  100  1 0 7
2.073  87  1 1 0
2.468  42  0 1 8
3.472  40  0 1 2
3.175  36  1 0 4
2.997  34  0 1 5
1.365  30  1 1 15
2.036  26  0 1 11

Cell and atoms:
Cell: 4.1465 4.1465 27.1899 Å, 90.00 90.00 120.00°
Space group R-3m (No. 166, hexagonal axes)
One atom of each set of equivalent atoms:
1 Ac 0.0000 0.0000 0.0000 [3 per cell]
2 Be 0.0000 0.0000 0.2336 [6 per cell]
3 Al 0.0000 0.0000 0.5000 [3 per cell]
4 Pt 0.0000 0.0000 0.1341 [6 per cell]
5 Pt 0.0000 0.0000 0.4085 [6 per cell]

***

Entry 7:
Computed powder diffraction line list
Compound: Zn12Cd2Au7
Radiation: Cu Kα (λ = 1.5418 Å)
Structure: the GGA-PBE geometry in Alexandria
Neutral-atom scattering factors, no anomalous dispersion.

Largest 8 diffraction maxima, in order of falling intensity, 15° ≤ 2θ ≤ 90°:
d_spacing  I/Imax  h k l
2.162  100  2 2 1
2.601  56  1 2 1
3.287  50  2 1 0
2.098  43  3 1 1
2.127  41  0 0 2
3.041  36  2 0 1
2.511  35  2 2 0
3.821  25  1 0 1

Cell and atoms:
Cell: 10.0429 10.0429 4.2538 Å, 90.00 90.00 120.00°
Space group P-6 (No. 174)
One atom of each set of equivalent atoms:
1 Zn 0.0161 0.3742 0.0000 [3 per cell]
2 Zn 0.1474 0.8409 0.5000 [3 per cell]
3 Zn 0.1943 0.1466 0.0000 [3 per cell]
4 Zn 0.4837 0.4484 0.5000 [3 per cell]
5 Cd 0.3333 0.6667 0.5000 [1 per cell]
6 Cd 0.6667 0.3333 0.0000 [1 per cell]
7 Au 0.0000 0.0000 0.5000 [1 per cell]
8 Au 0.1400 0.6805 0.0000 [3 per cell]
9 Au 0.3674 0.1497 0.5000 [3 per cell]

***

Entry 8:
Computed powder diffraction line list
Compound: Li8Mg3Zn2
Radiation: Cu Kα (λ = 1.5418 Å)
Structure: the GGA-PBE geometry in Alexandria
Neutral-atom scattering factors, no anomalous dispersion.

Largest 8 diffraction maxima, in order of falling intensity, 15° ≤ 2θ ≤ 90°:
d_spacing  I/Imax  h k l
4.012  100  0 2 1
2.372  89  1 5 1
3.314  65  2 2 0
2.292  64  2 4 1
2.936  64  2 0 1
4.792  48  0 0 1
2.396  40  0 0 2
3.883  39  1 1 1

Cell and atoms:
Cell: 7.428 14.672 4.792 Å, 90.00 90.00 90.00°
Space group Cmmm (No. 65)
One atom of each set of equivalent atoms:
1 Li 0.000 0.123 0.000 [4 per cell]
2 Li 0.000 0.310 0.000 [4 per cell]
3 Li 0.189 0.375 0.500 [8 per cell]
4 Mg 0.000 0.000 0.500 [2 per cell]
5 Mg 0.197 0.500 0.000 [4 per cell]
6 Zn 0.000 0.213 0.500 [4 per cell]

***

Entry 9:
Computed powder diffraction line list
Compound: NpPt4Se8
Radiation: Cu Kα (λ = 1.5418 Å)
Structure: the GGA-PBE geometry in Alexandria
Neutral-atom scattering factors, no anomalous dispersion.

Largest 8 diffraction maxima, in order of falling intensity, 15° ≤ 2θ ≤ 90°:
d_spacing  I/Imax  h k l
2.659  100  0 2 4
1.941  41  2 2 0
5.793  35  0 0 3
1.824  33  2 0 8
1.567  20  4 0 4
1.219  18  2 4 4
3.300  17  0 2 1
1.161  13  2 2 12

Cell and atoms:
Cell: 7.7628 7.7628 17.3775 Å, 90.00 90.00 120.00°
Space group R-3m (No. 166, hexagonal axes)
One atom of each set of equivalent atoms:
1 Np 0.0000 0.0000 0.0000 [3 per cell]
2 Pt 0.0000 0.0000 0.5000 [3 per cell]
3 Pt 0.0000 0.5000 0.5000 [9 per cell]
4 Se 0.0000 0.0000 0.2393 [6 per cell]
5 Se 0.0046 0.5023 0.2421 [18 per cell]

***

Entry 10:
Computed powder diffraction line list
Compound: Tb4SmAl2
Radiation: Cu Kα (λ = 1.5418 Å)
Structure: the GGA-PBE geometry in Alexandria
Neutral-atom scattering factors, no anomalous dispersion.

Largest 8 diffraction maxima, in order of falling intensity, 15° ≤ 2θ ≤ 90°:
d_spacing  I/Imax  h k l
3.550  100  0 1 5
2.526  54  1 1 0
2.495  52  1 0 10
2.058  23  2 0 5
1.595  20  1 2 5
1.452  19  2 1 10
1.580  19  1 1 15
1.775  19  0 2 10

Cell and atoms:
Cell: 5.0514 5.0514 30.3785 Å, 90.00 90.00 120.00°
Space group R-3m (No. 166, hexagonal axes)
One atom of each set of equivalent atoms:
1 Tb 0.0000 0.0000 0.1017 [6 per cell]
2 Tb 0.0000 0.0000 0.2976 [6 per cell]
3 Sm 0.0000 0.0000 0.5000 [3 per cell]
4 Al 0.0000 0.0000 0.3998 [6 per cell]

***

Entry 11:
Computed powder diffraction line list
Compound: MgSc6Zn5
Radiation: Cu Kα (λ = 1.5418 Å)
Structure: the GGA-PBE geometry in Alexandria
Neutral-atom scattering factors, no anomalous dispersion.

Largest 8 diffraction maxima, in order of falling intensity, 15° ≤ 2θ ≤ 90°:
d_spacing  I/Imax  h k l
2.397  100  1 2 3
2.388  49  2 0 0
1.381  30  3 2 3
1.689  16  2 0 6
1.386  15  2 4 0
1.199  9  2 4 6
1.702  8  0 4 0
3.377  4  1 0 3

Cell and atoms:
Cell: 4.772 6.808 14.341 Å, 90.00 90.00 90.00°
Space group Immm (No. 71)
One atom of each set of equivalent atoms:
1 Mg 0.000 0.000 0.000 [2 per cell]
2 Sc 0.000 0.237 0.500 [4 per cell]
3 Sc 0.000 0.256 0.171 [8 per cell]
4 Zn 0.000 0.000 0.334 [4 per cell]
5 Zn 0.000 0.500 0.000 [2 per cell]
6 Zn 0.000 0.500 0.343 [4 per cell]

***

Entry 12:
Computed powder diffraction line list
Compound: Ba2As3Au5
Radiation: Cu Kα (λ = 1.5418 Å)
Structure: the GGA-PBE geometry in Alexandria
Neutral-atom scattering factors, no anomalous dispersion.

Largest 8 diffraction maxima, in order of falling intensity, 15° ≤ 2θ ≤ 90°:
d_spacing  I/Imax  h k l
2.882  100  1 1 2
2.527  85  2 0 0
2.733  36  1 0 3
2.013  33  1 1 4
1.787  30  2 2 0
1.519  30  3 1 2
1.856  23  2 1 3
1.336  18  3 1 4

Cell and atoms:
Cell: 5.055 5.055 9.746 Å, 90.00 90.00 90.00°
Space group P-4m2 (No. 115)
One atom of each set of equivalent atoms:
1 Ba 0.000 0.500 0.243 [2 per cell]
2 As 0.000 0.500 0.597 [2 per cell]
3 As 0.500 0.500 0.500 [1 per cell]
4 Au 0.000 0.000 0.000 [1 per cell]
5 Au 0.000 0.000 0.500 [1 per cell]
6 Au 0.000 0.500 0.860 [2 per cell]
7 Au 0.500 0.500 0.000 [1 per cell]